Record 1
Structure and calculated X-ray powder pattern of Tb4Er8Zr (a cell relaxed with GGA-PBE; λ = 1.5418 Å (Cu Kα)).
Intensities are scaled so that the largest is 100.

Principal peaks in the range 2θ = 5–70°, low angle first:
Position (°2θ)	intensity
20.18	16
23.34	10
26.14	2
33.25	100
39.20	9
41.02	3
47.73	18
52.32	4
53.79	4
59.41	38
63.41	3
69.80	12

Cell and atoms:
Cell lengths 7.6217, 7.6217, 7.6217 Å; angles 90.00, 90.00, 90.00 degrees
Element x y z (fractional)
Tb 0.0000 0.0000 0.0000
Tb 0.0000 0.5000 0.5000
Tb 0.5000 0.0000 0.5000
Tb 0.5000 0.5000 0.0000
Er 0.2446 0.2446 0.2446
Er 0.2446 0.2446 0.7554
Er 0.2446 0.7554 0.2446
Er 0.2446 0.7554 0.7554
Er 0.7554 0.2446 0.2446
Er 0.7554 0.2446 0.7554
Er 0.7554 0.7554 0.2446
Er 0.7554 0.7554 0.7554
Zr 0.5000 0.5000 0.5000

---

Record 2
Structure and calculated X-ray powder pattern of Y3Er6TmTh2 (a cell relaxed with GGA-PBE; λ = 1.5418 Å (Cu Kα)).
Intensities are scaled so that the largest is 100.

Principal peaks in the range 2θ = 5–70°, low angle first:
Position (°2θ)	intensity
7.67	20
29.27	3
30.98	100
31.95	2
34.45	2
35.93	51
41.14	2
51.72	36
61.50	32
61.58	11
64.55	9
64.67	3

Cell and atoms:
Cell lengths 6.1256, 6.1256, 11.7105 Å; angles 95.01, 95.01, 119.96 degrees
Element x y z (fractional)
Y 0.0000 0.0000 0.0000
Y 0.3336 0.6664 0.0000
Y 0.6664 0.3336 0.0000
Er 0.0814 0.4174 0.2532
Er 0.2461 0.2461 0.7470
Er 0.4174 0.0814 0.2532
Er 0.5826 0.9186 0.7468
Er 0.7539 0.7539 0.2530
Er 0.9186 0.5826 0.7468
Tm 0.5000 0.5000 0.5000
Th 0.1667 0.8333 0.5000
Th 0.8333 0.1667 0.5000

---

Record 3
Structure and calculated X-ray powder pattern of La6TlZn (a cell relaxed with GGA-PBE; λ = 1.5418 Å (Cu Kα)).
Intensities are scaled so that the largest is 100.

Principal peaks in the range 2θ = 5–70°, low angle first:
Position (°2θ)	intensity
17.10	6
29.73	4
30.63	100
33.08	44
38.05	5
39.98	10
47.49	16
52.83	17
57.57	33
63.77	10
66.86	5
69.42	5

Cell and atoms:
Cell lengths 9.7996, 9.7996, 9.7996 Å; angles 147.92, 147.92, 46.00 degrees
Element x y z (fractional)
La 0.1093 0.6093 0.5000
La 0.2482 0.2482 0.0000
La 0.3907 0.8907 0.5000
La 0.6093 0.1093 0.5000
La 0.7518 0.7518 0.0000
La 0.8907 0.3907 0.5000
Tl 0.0000 0.0000 0.0000
Zn 0.5000 0.5000 0.0000

---

Record 4
Structure and calculated X-ray powder pattern of BaThCrN4 (a cell relaxed with GGA-PBE; λ = 1.5418 Å (Cu Kα)).
Intensities are scaled so that the largest is 100.

Principal peaks in the range 2θ = 5–70°, low angle first:
Position (°2θ)	intensity
12.26	44
22.12	100
24.66	17
25.16	17
29.36	51
29.78	39
31.30	34
31.66	44
34.05	21
36.63	30
37.68	33
45.13	32

Cell and atoms:
Cell lengths 5.9600, 5.6514, 7.5303 Å; angles 90.00, 106.49, 90.00 degrees
Element x y z (fractional)
Ba 0.2195 0.2500 0.4227
Ba 0.7805 0.7500 0.5773
Th 0.2694 0.2500 0.9427
Th 0.7306 0.7500 0.0573
Cr 0.2691 0.7500 0.1740
Cr 0.7309 0.2500 0.8260
N 0.0818 0.7500 0.3165
N 0.0852 0.7500 0.9518
N 0.4579 0.5085 0.1992
N 0.4579 0.9915 0.1992
N 0.5421 0.0085 0.8008
N 0.5421 0.4915 0.8008
N 0.9148 0.2500 0.0482
N 0.9182 0.2500 0.6835

---

Record 5
Structure and calculated X-ray powder pattern of CaHo6Te8 (a cell relaxed with GGA-PBE; λ = 1.5418 Å (Cu Kα)).
Intensities are scaled so that the largest is 100.

Principal peaks in the range 2θ = 5–70°, low angle first:
Position (°2θ)	intensity
14.45	10
20.49	9
29.13	100
32.66	6
35.88	5
41.67	75
44.33	3
46.86	2
51.65	27
56.14	2
60.40	12
68.44	34

Cell and atoms:
Cell lengths 8.6699, 8.6699, 8.6699 Å; angles 60.00, 60.00, 60.00 degrees
Element x y z (fractional)
Ca 0.0000 0.0000 0.0000
Ho 0.0000 0.0000 0.5000
Ho 0.0000 0.5000 0.0000
Ho 0.0000 0.5000 0.5000
Ho 0.5000 0.0000 0.0000
Ho 0.5000 0.0000 0.5000
Ho 0.5000 0.5000 0.0000
Te 0.2500 0.2500 0.2500
Te 0.2577 0.2577 0.7423
Te 0.2577 0.7423 0.2577
Te 0.2577 0.7423 0.7423
Te 0.7423 0.2577 0.2577
Te 0.7423 0.2577 0.7423
Te 0.7423 0.7423 0.2577
Te 0.7500 0.7500 0.7500

---

Record 6
Structure and calculated X-ray powder pattern of CoNi2Pd6 (a cell relaxed with GGA-PBE; λ = 1.5418 Å (Cu Kα)).
Intensities are scaled so that the largest is 100.

Principal peaks in the range 2θ = 5–70°, low angle first:
Position (°2θ)	intensity
24.23	9
35.67	2
37.40	18
41.09	100
42.63	87
43.59	21
50.49	10
51.81	6
60.70	23
63.76	3
68.17	3
68.48	6

Cell and atoms:
Cell lengths 7.3468, 7.3468, 2.7404 Å; angles 90.00, 90.00, 120.00 degrees
Element x y z (fractional)
Co 0.0000 0.0000 0.0000
Ni 0.3333 0.6667 0.2349
Ni 0.6667 0.3333 0.7651
Pd 0.0392 0.3542 0.7413
Pd 0.3149 0.9608 0.7413
Pd 0.3542 0.3149 0.2587
Pd 0.6458 0.6851 0.7413
Pd 0.6851 0.0392 0.2587
Pd 0.9608 0.6458 0.2587